Starting from the PBE geometry in the Materials Project, the XRD peak list of TiSn6F16 was calculated for λ = 1.5418 Å (Cu Kα).
Lines closer than 0.1° are merged.

Structural model:
```
data_TiSn6F16
_symmetry_space_group_name_H-M 'C 1 2/c 1'
_symmetry_Int_Tables_number 15
_symmetry_space_group_name_Hall '-C 2yc'
_cell_length_a 18.8626
_cell_length_b 7.8132
_cell_length_c 11.1017
_cell_angle_alpha 90.00
_cell_angle_beta 90.99
_cell_angle_gamma 90.00
loop_
_atom_site_label
_atom_site_type_symbol
_atom_site_fract_x
_atom_site_fract_y
_atom_site_fract_z
Ti1 Ti 0.0000 0.1694 0.2500
Sn1 Sn 0.0734 0.3258 0.8961
Sn2 Sn 0.1473 0.1071 0.5299
Sn3 Sn 0.2060 0.4160 0.1807
F1 F 0.0336 0.1675 0.0889
F2 F 0.0666 0.0038 0.7903
F3 F 0.0676 0.3393 0.2929
F4 F 0.1296 0.4916 0.0161
F5 F 0.1515 0.3604 0.7531
F6 F 0.1582 0.1558 0.9588
F7 F 0.2193 0.0086 0.6597
F8 F 0.2355 0.1295 0.4060
```

Peak list (10 most intense, 15 to 90 degrees two-theta, by angle)
- 2θ = 24.40°, I 881
- 2θ = 24.56°, I 962
- 2θ = 25.91°, I 1000
- 2θ = 27.15°, I 537
- 2θ = 27.58°, I 542
- 2θ = 40.98°, I 293
- 2θ = 44.07°, I 373
- 2θ = 44.60°, I 337
- 2θ = 50.39°, I 257
- 2θ = 51.43°, I 367

***

Starting from the PBE geometry in the Materials Project, the XRD peak list of Tl2SnF6 was calculated for λ = 1.5418 Å (Cu Kα).
Lines closer than 0.1° are merged.

Structural model:
```
data_Tl2SnF6
_symmetry_space_group_name_H-M 'P -3 m 1'
_symmetry_Int_Tables_number 164
_symmetry_space_group_name_Hall '-P 3 2"'
_cell_length_a 6.1826
_cell_length_b 6.1826
_cell_length_c 4.9653
_cell_angle_alpha 90.00
_cell_angle_beta 90.00
_cell_angle_gamma 120.00
loop_
_atom_site_label
_atom_site_type_symbol
_atom_site_fract_x
_atom_site_fract_y
_atom_site_fract_z
Tl1 Tl 0.3333 0.6667 0.1883
Sn1 Sn 0.0000 0.0000 0.5000
F1 F 0.1564 0.3129 0.7242
```

Peak list (10 most intense, 15 to 90 degrees two-theta, by angle)
- 2θ = 24.45°, I 1000
- 2θ = 28.88°, I 616
- 2θ = 38.19°, I 538
- 2θ = 40.03°, I 269
- 2θ = 48.58°, I 308
- 2θ = 50.11°, I 172
- 2θ = 58.87°, I 198
- 2θ = 59.84°, I 133
- 2θ = 63.79°, I 148
- 2θ = 65.62°, I 141

***

Starting from the PBE geometry in the Materials Project, the XRD peak list of TlSnF7 was calculated for λ = 1.5418 Å (Cu Kα).
Lines closer than 0.1° are merged.

Structural model:
```
data_TlSnF7
_symmetry_space_group_name_H-M 'P 1 21/c 1'
_symmetry_Int_Tables_number 14
_symmetry_space_group_name_Hall '-P 2ybc'
_cell_length_a 8.8964
_cell_length_b 5.5700
_cell_length_c 12.1026
_cell_angle_alpha 90.00
_cell_angle_beta 117.32
_cell_angle_gamma 90.00
loop_
_atom_site_label
_atom_site_type_symbol
_atom_site_fract_x
_atom_site_fract_y
_atom_site_fract_z
Tl1 Tl 0.1852 0.2403 0.2643
Sn1 Sn 0.2717 0.7389 0.0430
F1 F 0.0199 0.7431 0.9513
F2 F 0.0373 0.6012 0.7295
F3 F 0.2633 0.5460 0.1817
F4 F 0.2680 0.0727 0.4573
F5 F 0.2812 0.0294 0.1437
F6 F 0.2951 0.5609 0.4155
F7 F 0.4766 0.2077 0.3641
```

Peak list (10 most intense, 15 to 90 degrees two-theta, by angle)
- 2θ = 22.00°, I 1000
- 2θ = 22.50°, I 401
- 2θ = 26.39°, I 253
- 2θ = 27.68°, I 171
- 2θ = 28.85°, I 377
- 2θ = 32.14°, I 182
- 2θ = 44.39°, I 155
- 2θ = 44.68°, I 150
- 2θ = 47.97°, I 183
- 2θ = 48.92°, I 145

***

Starting from the PBE geometry in the Materials Project, the XRD peak list of TlSn2F5 was calculated for λ = 1.5418 Å (Cu Kα).
Lines closer than 0.1° are merged.

Structural model:
```
data_TlSn2F5
_symmetry_space_group_name_H-M 'C 1 m 1'
_symmetry_Int_Tables_number 8
_symmetry_space_group_name_Hall 'C -2y'
_cell_length_a 6.9299
_cell_length_b 5.3849
_cell_length_c 9.3730
_cell_angle_alpha 90.00
_cell_angle_beta 93.23
_cell_angle_gamma 90.00
loop_
_atom_site_label
_atom_site_type_symbol
_atom_site_fract_x
_atom_site_fract_y
_atom_site_fract_z
Tl1 Tl 0.0000 0.0000 0.0000
Sn1 Sn 0.1573 0.5000 0.3138
Sn2 Sn 0.3060 0.0000 0.6124
F1 F 0.0105 0.0000 0.6494
F2 F 0.1453 0.5000 0.0917
F3 F 0.3597 0.0000 0.8255
F4 F 0.4079 0.2518 0.2650
```

Peak list (10 most intense, 15 to 90 degrees two-theta, by angle)
- 2θ = 23.29°, I 1000
- 2θ = 26.97°, I 316
- 2θ = 27.87°, I 543
- 2θ = 28.62°, I 284
- 2θ = 33.28°, I 234
- 2θ = 42.64°, I 270
- 2θ = 43.34°, I 262
- 2θ = 44.45°, I 140
- 2θ = 44.87°, I 132
- 2θ = 47.61°, I 123

***

Starting from the PBE geometry in the Materials Project, the XRD peak list of ZnSnF4 was calculated for λ = 1.5418 Å (Cu Kα).
Lines closer than 0.1° are merged.

Structural model:
```
data_ZnSnF4
_symmetry_space_group_name_H-M 'P 1'
_symmetry_Int_Tables_number 1
_symmetry_space_group_name_Hall 'P 1'
_cell_length_a 5.1688
_cell_length_b 5.5732
_cell_length_c 6.6685
_cell_angle_alpha 72.27
_cell_angle_beta 69.64
_cell_angle_gamma 89.87
loop_
_atom_site_label
_atom_site_type_symbol
_atom_site_fract_x
_atom_site_fract_y
_atom_site_fract_z
Zn1 Zn 0.0000 0.0000 0.0000
Zn2 Zn 0.4971 0.4972 0.9992
Sn1 Sn 0.2656 0.7513 0.4591
Sn2 Sn 0.7364 0.2224 0.5445
F1 F 0.1499 0.6718 0.1232
F2 F 0.2444 0.1529 0.1343
F3 F 0.3134 0.0376 0.6844
F4 F 0.4750 0.5154 0.6938
F5 F 0.5239 0.4746 0.3036
F6 F 0.6842 0.9510 0.3161
F7 F 0.7509 0.8472 0.8634
F8 F 0.8512 0.3275 0.8724
```

Peak list (10 most intense, 15 to 90 degrees two-theta, by angle)
- 2θ = 26.48°, I 1000
- 2θ = 27.31°, I 846
- 2θ = 28.70°, I 704
- 2θ = 29.61°, I 638
- 2θ = 30.22°, I 405
- 2θ = 32.39°, I 392
- 2θ = 34.75°, I 273
- 2θ = 41.77°, I 319
- 2θ = 47.82°, I 386
- 2θ = 48.33°, I 269

***

Starting from the PBE geometry in the Materials Project, the XRD peak list of SrF was calculated for λ = 1.5418 Å (Cu Kα).
Lines closer than 0.1° are merged.

Structural model:
```
data_SrF
_symmetry_space_group_name_H-M 'P 63 m c'
_symmetry_Int_Tables_number 186
_symmetry_space_group_name_Hall 'P 6c -2c'
_cell_length_a 4.2393
_cell_length_b 4.2393
_cell_length_c 6.8282
_cell_angle_alpha 90.00
_cell_angle_beta 90.00
_cell_angle_gamma 120.00
loop_
_atom_site_label
_atom_site_type_symbol
_atom_site_fract_x
_atom_site_fract_y
_atom_site_fract_z
Sr1 Sr 0.3333 0.6667 0.0000
F1 F 0.3333 0.6667 0.6221
```

Peak list (10 most intense, 15 to 90 degrees two-theta, by angle)
- 2θ = 24.24°, I 490
- 2θ = 26.10°, I 381
- 2θ = 27.59°, I 1000
- 2θ = 35.92°, I 245
- 2θ = 42.66°, I 416
- 2θ = 46.97°, I 420
- 2θ = 50.69°, I 357
- 2θ = 51.56°, I 181
- 2θ = 69.07°, I 156
- 2θ = 81.18°, I 161

***

Starting from the PBE geometry in the Materials Project, the XRD peak list of SrF2 was calculated for λ = 1.5418 Å (Cu Kα).
Lines closer than 0.1° are merged.

Structural model:
```
data_SrF2
_symmetry_space_group_name_H-M 'P n m a'
_symmetry_Int_Tables_number 62
_symmetry_space_group_name_Hall '-P 2ac 2n'
_cell_length_a 6.3720
_cell_length_b 3.8308
_cell_length_c 7.5214
_cell_angle_alpha 90.00
_cell_angle_beta 90.00
_cell_angle_gamma 90.00
loop_
_atom_site_label
_atom_site_type_symbol
_atom_site_fract_x
_atom_site_fract_y
_atom_site_fract_z
Sr1 Sr 0.2485 0.2500 0.1139
F1 F 0.0265 0.7500 0.3331
F2 F 0.1426 0.7500 0.9286
```

Peak list (10 most intense, 15 to 90 degrees two-theta, by angle)
- 2θ = 26.10°, I 531
- 2θ = 27.54°, I 1000
- 2θ = 28.01°, I 499
- 2θ = 29.69°, I 928
- 2θ = 38.66°, I 926
- 2θ = 43.12°, I 485
- 2θ = 47.47°, I 333
- 2θ = 49.27°, I 390
- 2θ = 50.62°, I 345
- 2θ = 52.21°, I 388

***

Starting from the PBE geometry in the Materials Project, the XRD peak list of SrF2 was calculated for λ = 1.5418 Å (Cu Kα).
Lines closer than 0.1° are merged.

Structural model:
```
data_SrF2
_symmetry_space_group_name_H-M 'F m -3 m'
_symmetry_Int_Tables_number 225
_symmetry_space_group_name_Hall '-F 4 2 3'
_cell_length_a 5.8659
_cell_length_b 5.8659
_cell_length_c 5.8659
_cell_angle_alpha 90.00
_cell_angle_beta 90.00
_cell_angle_gamma 90.00
loop_
_atom_site_label
_atom_site_type_symbol
_atom_site_fract_x
_atom_site_fract_y
_atom_site_fract_z
Sr1 Sr 0.0000 0.0000 0.0000
F1 F 0.2500 0.2500 0.2500
```

Peak list (10 most intense, 15 to 90 degrees two-theta, by angle)
- 2θ = 26.32°, I 1000
- 2θ = 30.48°, I 150
- 2θ = 43.64°, I 769
- 2θ = 51.68°, I 457
- 2θ = 54.16°, I 49
- 2θ = 63.43°, I 115
- 2θ = 69.90°, I 185
- 2θ = 71.99°, I 74
- 2θ = 80.16°, I 224
- 2θ = 86.14°, I 145

***

Starting from the PBE geometry in the Materials Project, the XRD peak list of SrF2 was calculated for λ = 1.5418 Å (Cu Kα).
Lines closer than 0.1° are merged.

Structural model:
```
data_SrF2
_symmetry_space_group_name_H-M 'P 63/m m c'
_symmetry_Int_Tables_number 194
_symmetry_space_group_name_Hall '-P 6c 2c'
_cell_length_a 4.1517
_cell_length_b 4.1517
_cell_length_c 5.8715
_cell_angle_alpha 90.00
_cell_angle_beta 90.00
_cell_angle_gamma 120.00
loop_
_atom_site_label
_atom_site_type_symbol
_atom_site_fract_x
_atom_site_fract_y
_atom_site_fract_z
Sr1 Sr 0.3333 0.6667 0.2500
F1 F 0.0000 0.0000 0.0000
F2 F 0.3333 0.6667 0.7500
```

Peak list (10 most intense, 15 to 90 degrees two-theta, by angle)
- 2θ = 24.76°, I 248
- 2θ = 29.12°, I 1000
- 2θ = 30.45°, I 335
- 2θ = 39.63°, I 669
- 2θ = 43.60°, I 752
- 2θ = 53.29°, I 393
- 2θ = 54.11°, I 388
- 2θ = 60.38°, I 170
- 2θ = 71.22°, I 265
- 2θ = 80.07°, I 328

***

Starting from the PBE geometry in the Materials Project, the XRD peak list of SrF2 was calculated for λ = 1.5418 Å (Cu Kα).
Lines closer than 0.1° are merged.

Structural model:
```
data_SrF2
_symmetry_space_group_name_H-M 'P n m a'
_symmetry_Int_Tables_number 62
_symmetry_space_group_name_Hall '-P 2ac 2n'
_cell_length_a 12.2579
_cell_length_b 4.0691
_cell_length_c 4.4261
_cell_angle_alpha 90.00
_cell_angle_beta 90.00
_cell_angle_gamma 90.00
loop_
_atom_site_label
_atom_site_type_symbol
_atom_site_fract_x
_atom_site_fract_y
_atom_site_fract_z
Sr1 Sr 0.1367 0.2500 0.0672
F1 F 0.0382 0.7500 0.2041
F2 F 0.2287 0.2500 0.5636
```

Peak list (10 most intense, 15 to 90 degrees two-theta, by angle)
- 2θ = 21.34°, I 749
- 2θ = 24.81°, I 307
- 2θ = 26.29°, I 1000
- 2θ = 29.76°, I 341
- 2θ = 30.73°, I 326
- 2θ = 37.22°, I 360
- 2θ = 42.17°, I 281
- 2θ = 44.53°, I 270
- 2θ = 47.95°, I 461
- 2θ = 49.92°, I 324

***

Starting from the PBE geometry in the Materials Project, the XRD peak list of SrTaF7 was calculated for λ = 1.5418 Å (Cu Kα).
Lines closer than 0.1° are merged.

Structural model:
```
data_SrTaF7
_symmetry_space_group_name_H-M 'P 1 21/m 1'
_symmetry_Int_Tables_number 11
_symmetry_space_group_name_Hall '-P 2yb'
_cell_length_a 4.9698
_cell_length_b 7.3327
_cell_length_c 6.8281
_cell_angle_alpha 90.00
_cell_angle_beta 94.53
_cell_angle_gamma 90.00
loop_
_atom_site_label
_atom_site_type_symbol
_atom_site_fract_x
_atom_site_fract_y
_atom_site_fract_z
Sr1 Sr 0.0281 0.2500 0.3148
Ta1 Ta 0.4644 0.2500 0.7794
F1 F 0.1729 0.2500 0.9537
F2 F 0.1922 0.0768 0.6407
F3 F 0.3257 0.5273 0.2176
F4 F 0.3477 0.7500 0.9525
F5 F 0.4190 0.7500 0.4949
```

Peak list (10 most intense, 15 to 90 degrees two-theta, by angle)
- 2θ = 17.78°, I 488
- 2θ = 17.90°, I 220
- 2θ = 24.28°, I 619
- 2θ = 24.58°, I 1000
- 2θ = 26.07°, I 863
- 2θ = 26.18°, I 344
- 2θ = 43.83°, I 295
- 2θ = 44.12°, I 267
- 2θ = 45.27°, I 292
- 2θ = 47.04°, I 248

***

Starting from the PBE geometry in the Materials Project, the XRD peak list of SrZnF2 was calculated for λ = 1.5418 Å (Cu Kα).
Lines closer than 0.1° are merged.

Structural model:
```
data_SrZnF2
_symmetry_space_group_name_H-M 'I 41/a m d'
_symmetry_Int_Tables_number 141
_cell_length_a 7.8889
_cell_length_b 7.8889
_cell_length_c 11.2833
_cell_angle_alpha 90.00
_cell_angle_beta 90.00
_cell_angle_gamma 90.00
loop_
_symmetry_equiv_pos_as_xyz
'x,y,z'
'-x,-y,-z'
'-y+1/4,x+3/4,z+1/4'
'y+1/4,-x+3/4,-z+1/4'
'-x+1/2,-y,z+1/2'
'x+1/2,y,-z+1/2'
'y+1/4,-x+1/4,z+3/4'
'-y+1/4,x+1/4,-z+3/4'
'x,-y,-z'
'-x,y,z'
'-y+1/4,-x+1/4,-z+3/4'
'y+1/4,x+1/4,z+3/4'
'-x+1/2,y,-z+1/2'
'x+1/2,-y,z+1/2'
'y+1/4,x+3/4,-z+1/4'
'-y+1/4,-x+3/4,z+1/4'
'x+1/2,y+1/2,z+1/2'
'-x+1/2,-y+1/2,-z+1/2'
'-y+3/4,x+1/4,z+3/4'
'y+3/4,-x+1/4,-z+3/4'
'-x,-y+1/2,z'
'x,y+1/2,-z'
'y+3/4,-x+3/4,z+1/4'
'-y+3/4,x+3/4,-z+1/4'
'x+1/2,-y+1/2,-z+1/2'
'-x+1/2,y+1/2,z+1/2'
'-y+3/4,-x+3/4,-z+1/4'
'y+3/4,x+3/4,z+1/4'
'-x,y+1/2,-z'
'x,-y+1/2,z'
'y+3/4,x+1/4,-z+3/4'
'-y+3/4,-x+1/4,z+3/4'
loop_
_atom_site_label
_atom_site_type_symbol
_atom_site_fract_x
_atom_site_fract_y
_atom_site_fract_z
Sr1 Sr 0.0000 0.0000 0.0000
Zn1 Zn 0.0000 0.0000 0.5000
F1 F 0.0000 0.0636 0.7841
```

Peak list (10 most intense, 15 to 90 degrees two-theta, by angle)
- 2θ = 27.59°, I 1000
- 2θ = 31.72°, I 368
- 2θ = 32.09°, I 727
- 2θ = 45.75°, I 471
- 2θ = 46.02°, I 234
- 2θ = 54.02°, I 208
- 2θ = 54.50°, I 393
- 2θ = 56.97°, I 224
- 2θ = 73.63°, I 173
- 2θ = 85.03°, I 123